Calculated powder XRD pattern of Tb5Sm4Cd for Cu Kα X-rays, from a DFT-relaxed cell (PBE, Alexandria).
Neutral-atom scattering factors, no anomalous dispersion.

Principal peaks in the range 10° ≤ 2θ ≤ 80°, sorted by position:
| d/Å | Position (°2θ) | I/Imax |
| --- | --- | --- |
| 3.034 | 29.44 | 100 |
| 2.897 | 30.87 | 15 |
| 2.705 | 33.12 | 8 |
| 2.639 | 33.98 | 8 |
| 2.546 | 35.24 | 15 |
| 2.519 | 35.65 | 41 |
| 1.901 | 47.86 | 15 |
| 1.781 | 51.30 | 13 |
| 1.698 | 54.01 | 19 |
| 1.549 | 59.71 | 11 |
| 1.536 | 60.25 | 19 |
| 1.229 | 77.71 | 7 |

Atomic structure:
```
Tb5Sm4Cd
1.0
-5.3430 5.3430 2.8966
5.3430 -5.3430 2.8966
5.3430 5.3430 -2.8966
Tb Sm Cd
5 4 1
direct
0.0000 0.0000 0.0000
0.1115 0.1115 0.6313
0.1115 0.4802 0.0000
0.4802 0.1115 0.0000
0.4802 0.4802 0.3687
0.1253 0.8075 0.3178
0.4897 0.8075 0.6822
0.8075 0.1253 0.3178
0.8075 0.4897 0.6822
0.5202 0.5202 0.0000
```

***

Calculated powder XRD pattern of Tb2Sm8Cd for Cu Kα X-rays, from a DFT-relaxed cell (PBE, Alexandria).
Neutral-atom scattering factors, no anomalous dispersion.

Principal peaks in the range 10° ≤ 2θ ≤ 80°, sorted by position:
| d/Å | Position (°2θ) | I/Imax |
| --- | --- | --- |
| 2.915 | 30.67 | 100 |
| 2.529 | 35.49 | 34 |
| 2.516 | 35.68 | 17 |
| 1.787 | 51.10 | 18 |
| 1.783 | 51.23 | 18 |
| 1.524 | 60.76 | 28 |
| 1.519 | 61.01 | 14 |
| 1.458 | 63.83 | 6 |
| 1.457 | 63.88 | 6 |
| 1.265 | 75.09 | 2 |
| 1.264 | 75.16 | 2 |
| 1.258 | 75.58 | 2 |

Atomic structure:
```
Tb2Sm8Cd
1.0
9.0929 -2.5282 0.0000
9.0929 2.5282 0.0000
-2.1412 0.0000 7.7017
Tb Sm Cd
2 8 1
direct
0.2244 0.2244 0.1348
0.7756 0.7756 0.8652
0.0454 0.0454 0.2234
0.1357 0.1357 0.6793
0.3193 0.3193 0.5896
0.4100 0.4100 0.0548
0.5900 0.5900 0.9452
0.6807 0.6807 0.4104
0.8643 0.8643 0.3207
0.9546 0.9546 0.7766
0.5000 0.5000 0.5000
```

***

Calculated powder XRD pattern of Tb8Sm2Cd for Cu Kα X-rays, from a DFT-relaxed cell (PBE, Alexandria).
Neutral-atom scattering factors, no anomalous dispersion.

Principal peaks in the range 10° ≤ 2θ ≤ 80°, sorted by position:
| d/Å | Position (°2θ) | I/Imax |
| --- | --- | --- |
| 2.889 | 30.96 | 100 |
| 2.878 | 31.07 | 99 |
| 2.497 | 35.97 | 100 |
| 1.771 | 51.61 | 12 |
| 1.765 | 51.78 | 47 |
| 1.762 | 51.91 | 12 |
| 1.509 | 61.45 | 21 |
| 1.506 | 61.58 | 28 |
| 1.504 | 61.68 | 34 |
| 1.444 | 64.52 | 12 |
| 1.439 | 64.78 | 12 |
| 1.248 | 76.32 | 7 |

Atomic structure:
```
Tb8Sm2Cd
1.0
6.1223 0.0000 0.0000
-1.0442 6.0400 0.0000
-1.0209 -0.1821 9.2634
Tb Sm Cd
8 2 1
direct
0.0460 0.0932 0.1765
0.2317 0.4610 0.9108
0.3113 0.6395 0.2690
0.4116 0.8201 0.6412
0.5884 0.1799 0.3588
0.6887 0.3605 0.7310
0.7683 0.5390 0.0892
0.9540 0.9068 0.8235
0.1352 0.2755 0.5428
0.8648 0.7245 0.4572
0.5000 0.0000 0.0000
```

***

Calculated powder XRD pattern of TbSm7Cd2 for Cu Kα X-rays, from a DFT-relaxed cell (PBE, Alexandria).
Neutral-atom scattering factors, no anomalous dispersion.

Principal peaks in the range 10° ≤ 2θ ≤ 80°, sorted by position:
| d/Å | Position (°2θ) | I/Imax |
| --- | --- | --- |
| 5.316 | 16.68 | 41 |
| 4.510 | 19.69 | 20 |
| 4.405 | 20.16 | 25 |
| 3.439 | 25.91 | 24 |
| 3.207 | 27.82 | 52 |
| 3.001 | 29.77 | 71 |
| 2.658 | 33.72 | 55 |
| 2.632 | 34.06 | 100 |
| 2.583 | 34.73 | 73 |
| 1.990 | 45.59 | 44 |
| 1.509 | 61.46 | 29 |
| 1.476 | 62.99 | 24 |

Atomic structure:
```
TbSm7Cd2
1.0
4.5099 -8.0410 0.0000
4.5099 8.0410 0.0000
0.0000 0.0000 5.3160
Tb Sm Cd
1 7 2
direct
0.0000 0.0000 0.0000
0.0666 0.2994 0.5000
0.2220 0.7780 0.0000
0.2994 0.0666 0.5000
0.5000 0.5000 0.5000
0.7006 0.9334 0.5000
0.7780 0.2220 0.0000
0.9334 0.7006 0.5000
0.3035 0.6965 0.5000
0.6965 0.3035 0.5000
```